For Ho6Tm8Sn, the PBE geometry in Alexandria gives the simulated X-ray diffraction stick pattern in this record (Cu Kα (λ = 1.5418 Å)).
No peak broadening, texture or thermal motion is included.

abc: 9.9047 9.9047 5.3785
angles: 90.00 90.00 120.00
Sites, in units of the cell vectors:
Ho 0.9999 0.5731 0.0000
Ho 0.2098 0.0039 0.0000
Ho 0.4269 0.4269 0.0000
Ho 0.5731 0.0001 0.0000
Ho 0.7941 0.7902 0.0000
Ho 0.9961 0.2059 0.0000
Tm 0.0000 0.0000 0.5000
Tm 0.1999 0.4289 0.5000
Tm 0.2290 0.8001 0.5000
Tm 0.4240 0.2031 0.5000
Tm 0.5711 0.7710 0.5000
Tm 0.6667 0.3333 0.0000
Tm 0.7791 0.5760 0.5000
Tm 0.7969 0.2209 0.5000
Sn 0.3333 0.6667 0.0000

Top 8 peaks for 2θ = 15–90°, low angle first:
Position (°2θ)  I/Imax
27.51  16
32.24  100
33.32  26
53.41  10
58.48  11
58.86  18
64.42  11
83.17  10

---

For Ho3TmSn3, the PBE geometry in Alexandria gives the simulated X-ray diffraction stick pattern in this record (Cu Kα (λ = 1.5418 Å)).
No peak broadening, texture or thermal motion is included.

abc: 9.0126 9.0126 5.4320
angles: 90.00 90.00 120.00
Sites, in units of the cell vectors:
Ho 0.0080 0.7685 0.2500
Ho 0.2315 0.2395 0.2500
Ho 0.2395 0.0080 0.7500
Ho 0.7605 0.9920 0.2500
Ho 0.7685 0.7605 0.7500
Ho 0.9920 0.2315 0.7500
Tm 0.3333 0.6667 0.2500
Tm 0.6667 0.3333 0.7500
Sn 0.0778 0.6224 0.7500
Sn 0.3776 0.4554 0.7500
Sn 0.4554 0.0778 0.2500
Sn 0.5446 0.9222 0.7500
Sn 0.6224 0.5446 0.2500
Sn 0.9222 0.3776 0.2500

Top 8 peaks for 2θ = 15–90°, low angle first:
Position (°2θ)  I/Imax
30.30  22
32.98  28
34.60  100
45.39  15
53.85  20
59.94  21
64.59  17
65.58  8

---

For Ho8Tm6Sn, the PBE geometry in Alexandria gives the simulated X-ray diffraction stick pattern in this record (Cu Kα (λ = 1.5418 Å)).
No peak broadening, texture or thermal motion is included.

abc: 12.3864 12.3864 3.5062
angles: 90.00 90.00 120.00
Sites, in units of the cell vectors:
Ho 0.0952 0.3104 0.0000
Ho 0.2152 0.9048 0.0000
Ho 0.3104 0.2152 0.0000
Ho 0.3333 0.6667 0.0000
Ho 0.6667 0.3333 0.0000
Ho 0.6896 0.7848 0.0000
Ho 0.7848 0.0952 0.0000
Ho 0.9048 0.6896 0.0000
Tm 0.1088 0.6353 0.5000
Tm 0.3647 0.4735 0.5000
Tm 0.4735 0.1088 0.5000
Tm 0.5265 0.8912 0.5000
Tm 0.6353 0.5265 0.5000
Tm 0.8912 0.3647 0.5000
Sn 0.0000 0.0000 0.5000

Top 8 peaks for 2θ = 15–90°, low angle first:
Position (°2θ)  I/Imax
30.04  100
30.46  84
33.80  100
38.46  30
38.80  38
46.66  33
58.60  27
61.38  27

---

For Ho12Tm6Sn, the PBE geometry in Alexandria gives the simulated X-ray diffraction stick pattern in this record (Cu Kα (λ = 1.5418 Å)).
No peak broadening, texture or thermal motion is included.

abc: 8.3714 8.3714 8.3714
angles: 88.53 88.53 88.53
Sites, in units of the cell vectors:
Ho 0.0407 0.9326 0.2803
Ho 0.0674 0.7197 0.9593
Ho 0.1364 0.4890 0.3151
Ho 0.2803 0.0407 0.9326
Ho 0.3151 0.1364 0.4890
Ho 0.4890 0.3151 0.1364
Ho 0.5110 0.6849 0.8636
Ho 0.6849 0.8636 0.5110
Ho 0.7197 0.9593 0.0674
Ho 0.8636 0.5110 0.6849
Ho 0.9326 0.2803 0.0407
Ho 0.9593 0.0674 0.7197
Tm 0.2050 0.7569 0.5958
Tm 0.2431 0.4042 0.7950
Tm 0.4042 0.7950 0.2431
Tm 0.5958 0.2050 0.7569
Tm 0.7569 0.5958 0.2050
Tm 0.7950 0.2431 0.4042
Sn 0.5000 0.5000 0.5000

Top 8 peaks for 2θ = 15–90°, low angle first:
Position (°2θ)  I/Imax
31.36  41
32.10  25
32.46  100
33.62  72
34.14  28
35.67  19
46.10  13
59.63  13

---

For HoU2Sn9, the PBE geometry in Alexandria gives the simulated X-ray diffraction stick pattern in this record (Cu Kα (λ = 1.5418 Å)).
No peak broadening, texture or thermal motion is included.

abc: 4.6432 4.6432 14.0207
angles: 90.00 90.00 90.00
Sites, in units of the cell vectors:
Ho 0.0000 0.0000 0.0000
U 0.0000 0.0000 0.3366
U 0.0000 0.0000 0.6634
Sn 0.0000 0.5000 0.1691
Sn 0.0000 0.5000 0.5000
Sn 0.0000 0.5000 0.8309
Sn 0.5000 0.0000 0.1691
Sn 0.5000 0.0000 0.5000
Sn 0.5000 0.0000 0.8309
Sn 0.5000 0.5000 0.0000
Sn 0.5000 0.5000 0.3341
Sn 0.5000 0.5000 0.6659

Top 8 peaks for 2θ = 15–90°, low angle first:
Position (°2θ)  I/Imax
33.35  100
38.53  17
38.79  33
55.82  24
56.02  12
66.42  14
66.78  28
70.05  12

---

For HoZnSn3, the PBE geometry in Alexandria gives the simulated X-ray diffraction stick pattern in this record (Cu Kα (λ = 1.5418 Å)).
No peak broadening, texture or thermal motion is included.

abc: 12.5425 6.2270 6.1871
angles: 90.00 90.00 90.00
Sites, in units of the cell vectors:
Ho 0.1944 0.0106 0.2500
Ho 0.1944 0.4894 0.7500
Ho 0.8056 0.5106 0.2500
Ho 0.8056 0.9894 0.7500
Zn 0.3789 0.2500 0.0000
Zn 0.3789 0.2500 0.5000
Zn 0.6211 0.7500 0.0000
Zn 0.6211 0.7500 0.5000
Sn 0.0005 0.7500 0.0000
Sn 0.0005 0.7500 0.5000
Sn 0.2448 0.5190 0.2500
Sn 0.2448 0.9810 0.7500
Sn 0.4366 0.6517 0.7500
Sn 0.4366 0.8483 0.2500
Sn 0.5634 0.1517 0.7500
Sn 0.5634 0.3483 0.2500
Sn 0.7552 0.0190 0.2500
Sn 0.7552 0.4810 0.7500
Sn 0.9995 0.2500 0.0000
Sn 0.9995 0.2500 0.5000

Top 8 peaks for 2θ = 15–90°, low angle first:
Position (°2θ)  I/Imax
32.10  100
32.27  50
35.17  45
35.80  39
35.96  43
36.12  61
41.13  60
55.65  31